The following is a theoretical XRD peak list of NaNi3O4. It was derived from a structure optimized by DFT (PBE+U), using Cu Kα (λ = 1.5418 Å).

Structural model:
```
NaNi3O4
1.0
3.008 0.000 0.000
0.074 5.217 0.000
1.332 0.650 9.897
Na Ni O
2 6 8
direct
0.140 0.378 0.250
0.860 0.622 0.750
0.000 0.000 0.500
0.248 0.750 0.995
0.370 0.124 0.751
0.500 0.500 0.500
0.630 0.876 0.249
0.752 0.250 0.005
0.058 0.712 0.386
0.189 0.039 0.121
0.304 0.413 0.892
0.412 0.836 0.609
0.588 0.164 0.391
0.696 0.587 0.108
0.811 0.961 0.879
0.942 0.288 0.614
```

The 12 most intense peaks (2θ from 10° to 90°), low angle first:
2theta  I/Imax  (hkl)
17.9  30  0 0 2
36.3  93  0 2 -1
36.7  88  -1 1 1
41.6  100  1 1 -2
42.7  91  1 -1 3
42.8  91  0 2 3
60.6  27  0 2 -5
61.2  27  1 3 1
61.3  27  -1 1 5
61.7  27  2 0 1
62.0  51  1 -3 0
78.0  24  -2 2 2